No. 1
This entry pairs a crystal structure of LaTb2PrS4 with its simulated XRD peak list. Radiation: CuKα. Structure: the GGA-PBE geometry in Alexandria.
Intensities are scaled so that the largest is 100.

Main lines, by intensity (2θ from 10° to 80°):
2theta  d [Å]  intensity  index
31.35  2.854  100  2 0 0
27.06  3.295  76  1 1 2
44.92  2.018  72  2 2 0
53.23  1.721  38  3 1 2
74.33  1.276  32  4 2 0
55.80  1.648  25  2 2 4
72.14  1.309  15  3 3 2
65.41  1.427  12  4 0 0

Structural model:
Unit cell a=5.7053 b=5.7053 c=11.4220 alpha=90.00 beta=90.00 gamma=90.00
Space group I4/mmm (No. 139)
Inequivalent atoms, fractional coordinates:
La 0.0000 0.0000 0.0000 [2 per cell]
Tb 0.0000 0.5000 0.2500 [4 per cell]
Pr 0.0000 0.0000 0.5000 [2 per cell]
S 0.0000 0.0000 0.2504 [4 per cell]
S 0.0000 0.5000 0.0000 [4 per cell]

No. 2
This entry pairs a crystal structure of LaCe2HoBi4 with its simulated XRD peak list. Radiation: CuKα. Structure: the GGA-PBE geometry in Alexandria.
Intensities are scaled so that the largest is 100.

Main lines, by intensity (2θ from 10° to 80°):
2theta  d [Å]  intensity  index
27.44  3.250  100  1 1 1
39.20  2.298  79  0 2 0
64.06  1.453  38  1 3 1
48.52  1.876  29  0 0 4
71.04  1.327  28  2 0 -6
56.64  1.625  14  2 2 2
23.71  3.753  5  0 0 2
46.33  1.960  3  0 2 2
62.26  1.491  1  2 2 -4
76.09  1.251  1  1 3 3

Structural model:
Unit cell a=7.9579 b=4.5978 c=7.9618 alpha=90.00 beta=109.48 gamma=90.00
Space group P2/m (No. 10)
Inequivalent atoms, fractional coordinates:
La 0.0000 0.0000 0.0000 [1 per cell]
Ce 0.0000 0.5000 0.5000 [1 per cell]
Ce 0.5000 0.0000 0.5000 [1 per cell]
Ho 0.5000 0.5000 0.0000 [1 per cell]
Bi 0.2573 0.5000 0.2518 [2 per cell]
Bi 0.2577 0.0000 0.7532 [2 per cell]

No. 3
This entry pairs a crystal structure of Sm8Tm3Th with its simulated XRD peak list. Radiation: CuKα. Structure: the GGA-PBE geometry in Alexandria.
Intensities are scaled so that the largest is 100.

Main lines, by intensity (2θ from 10° to 80°):
2theta  d [Å]  intensity  index
32.25  2.776  100  1 0 3
29.61  3.017  22  0 2 -3
29.77  3.001  22  0 2 3
30.02  2.977  15  0 1 4
49.79  1.831  14  2 0 0
54.34  1.688  9  1 -2 6
59.10  1.563  8  2 2 3
59.00  1.566  7  2 2 -3
42.57  2.124  6  0 0 6
54.22  1.692  5  1 2 -6

Structural model:
Unit cell a=3.6628 b=8.5246 c=12.7431 alpha=90.30 beta=90.02 gamma=90.00
Space group P1 (No. 1)
Inequivalent atoms, fractional coordinates:
Sm 0.0000 0.0000 0.0000 [1 per cell]
Sm 0.0001 0.0427 0.6890 [1 per cell]
Sm 0.0005 0.5553 0.0559 [1 per cell]
Sm 0.9997 0.5591 0.3386 [1 per cell]
Sm 0.5000 0.2982 0.8861 [1 per cell]
Sm 0.5001 0.7287 0.5552 [1 per cell]
Sm 0.5010 0.7282 0.8331 [1 per cell]
Sm 0.5016 0.2433 0.2040 [1 per cell]
Tm 0.0001 0.4509 0.6895 [1 per cell]
Tm 0.0007 0.9956 0.3963 [1 per cell]
Tm 0.4999 0.2909 0.4954 [1 per cell]
Th 0.4999 0.8380 0.1978 [1 per cell]

- What is the formula in the third record?
  Sm8Tm3Th